No. 1
This entry pairs a crystal structure of MgCu4Sn with its calculated powder diffraction line list. Radiation: Cu Kα, 1.54184 Å. Structure: a crystal structure in the Materials Project, relaxed with PBE.
Kinematic intensities with the Lorentz-polarization factor, no thermal factor.

Top 10 peaks for 2θ from 10° to 80°, most intense first:
| 2θ (°) | I_rel |
| --- | --- |
| 42.5 | 100 |
| 44.4 | 39 |
| 69.1 | 30 |
| 36.0 | 27 |
| 76.3 | 23 |
| 21.8 | 17 |
| 25.2 | 15 |
| 64.7 | 10 |
| 58.4 | 6 |
| 56.8 | 4 |

Cell and atoms:
```
MgCu4Sn
1.0
0.000 3.531 3.531
3.531 0.000 3.531
3.531 3.531 0.000
Mg Cu Sn
1 4 1
direct
0.000 0.000 0.000
0.375 0.375 0.375
0.375 0.375 0.876
0.375 0.876 0.375
0.876 0.375 0.375
0.750 0.750 0.750
```

---

No. 2
This entry pairs a crystal structure of Mg6CuSn with its calculated powder diffraction line list. Radiation: Cu Kα, 1.54184 Å. Structure: a crystal structure in the Materials Project, relaxed with PBE.
Kinematic intensities with the Lorentz-polarization factor, no thermal factor.

Top 10 peaks for 2θ from 10° to 80°, most intense first:
| 2θ (°) | I_rel |
| --- | --- |
| 37.9 | 100 |
| 24.2 | 58 |
| 16.4 | 54 |
| 37.7 | 39 |
| 36.0 | 36 |
| 33.8 | 26 |
| 65.9 | 19 |
| 33.2 | 19 |
| 33.0 | 17 |
| 71.1 | 17 |

Cell and atoms:
```
Mg6CuSn
1.0
4.995 0.000 0.000
0.000 3.103 5.434
0.000 -3.103 5.434
Mg Cu Sn
6 1 1
direct
0.000 0.000 0.000
0.000 0.502 0.985
0.000 0.985 0.502
0.500 0.159 0.667
0.500 0.165 0.165
0.500 0.667 0.159
0.500 0.687 0.687
0.000 0.498 0.498
```

---

No. 3
This entry pairs a crystal structure of Mg6CuSn with its calculated powder diffraction line list. Radiation: Cu Kα, 1.54184 Å. Structure: a crystal structure in the Materials Project, relaxed with PBE.
Kinematic intensities with the Lorentz-polarization factor, no thermal factor.

Top 10 peaks for 2θ from 10° to 80°, most intense first:
| 2θ (°) | I_rel |
| --- | --- |
| 37.6 | 100 |
| 38.1 | 48 |
| 16.5 | 39 |
| 36.4 | 35 |
| 32.8 | 34 |
| 18.0 | 32 |
| 24.5 | 30 |
| 49.8 | 21 |
| 66.3 | 18 |
| 71.5 | 18 |

Cell and atoms:
```
Mg6CuSn
1.0
4.940 0.000 0.000
0.000 3.168 5.380
0.000 -3.168 5.380
Mg Cu Sn
6 1 1
direct
0.000 0.000 0.000
0.000 0.004 0.481
0.000 0.481 0.004
0.000 0.493 0.493
0.500 0.161 0.663
0.500 0.663 0.161
0.500 0.161 0.161
0.500 0.661 0.661
```

---

No. 4
This entry pairs a crystal structure of SrMg6Cu with its calculated powder diffraction line list. Radiation: Cu Kα, 1.54184 Å. Structure: a crystal structure in the Materials Project, relaxed with PBE.
Kinematic intensities with the Lorentz-polarization factor, no thermal factor.

Top 10 peaks for 2θ from 10° to 80°, most intense first:
| 2θ (°) | I_rel |
| --- | --- |
| 36.7 | 100 |
| 15.6 | 59 |
| 31.2 | 58 |
| 33.4 | 52 |
| 36.8 | 41 |
| 22.9 | 37 |
| 31.6 | 35 |
| 37.8 | 24 |
| 24.0 | 22 |
| 51.9 | 21 |

Cell and atoms:
```
SrMg6Cu
1.0
4.886 0.000 0.000
0.000 3.158 6.415
0.000 -3.158 6.415
Sr Mg Cu
1 6 1
direct
0.000 0.000 0.000
0.000 0.440 0.440
0.000 0.475 0.973
0.000 0.973 0.475
0.500 0.104 0.601
0.500 0.601 0.104
0.500 0.606 0.606
0.500 0.177 0.177
```

---

> What is the formula in the fourth record?

SrMg6Cu